Entry 1:
# PmNi6B3
Computed powder X-ray diffraction pattern, CuKα. Input: a PBE-relaxed structure.

Structural model:
abc: 5.8851 5.8851 5.8851
angles: 50.31 50.31 50.31
Positions (direct):
Pm  0.0000  0.0000  0.0000
Ni  0.0734  0.5787  0.5687
Ni  0.3392  0.4216  0.8786
Ni  0.4216  0.8786  0.3392
Ni  0.5687  0.0734  0.5787
Ni  0.5787  0.5687  0.0734
Ni  0.8786  0.3392  0.4216
B  0.3063  0.3063  0.3063
B  0.6406  0.6406  0.6406
B  0.8336  0.8336  0.8336

Main lines, in order of rising 2θ (2θ from 5° to 70°):
2θ (°)  d/Å  intensity
31.09  2.876  55
35.80  2.508  52
40.10  2.248  46
42.12  2.145  100
43.39  2.085  32
51.01  1.791  39

---

Entry 2:
# PmNi3B
Computed powder X-ray diffraction pattern, CuKα. Input: a PBE-relaxed structure.

Structural model:
abc: 5.6643 5.6643 9.6127
angles: 90.00 90.00 120.00
Positions (direct):
Pm  0.0000  0.0000  0.0000
Pm  0.0000  0.0000  0.5000
Pm  0.3333  0.6667  0.2500
Pm  0.6667  0.3333  0.7500
Ni  0.0000  0.5000  0.0000
Ni  0.0000  0.5000  0.5000
Ni  0.1584  0.3167  0.7500
Ni  0.1584  0.8416  0.7500
Ni  0.3167  0.1584  0.2500
Ni  0.5000  0.0000  0.0000
Ni  0.5000  0.0000  0.5000
Ni  0.5000  0.5000  0.0000
Ni  0.5000  0.5000  0.5000
Ni  0.6833  0.8416  0.7500
Ni  0.8416  0.1584  0.2500
Ni  0.8416  0.6833  0.2500
B  0.3333  0.6667  0.6370
B  0.3333  0.6667  0.8630
B  0.6667  0.3333  0.1370
B  0.6667  0.3333  0.3630

Main lines, in order of rising 2θ (2θ from 5° to 70°):
2θ (°)  d/Å  intensity
25.95  3.433  16
37.42  2.403  38
37.86  2.377  39
41.33  2.185  100
46.63  1.948  24
65.97  1.416  21

---

Entry 3:
# PmNi2B
Computed powder X-ray diffraction pattern, CuKα. Input: a PBE-relaxed structure.

Structural model:
abc: 5.2537 5.2537 7.1409
angles: 90.00 90.00 120.00
Positions (direct):
Pm  0.0000  0.5000  0.1667
Pm  0.5000  0.0000  0.5000
Pm  0.5000  0.5000  0.8333
Ni  0.1418  0.2837  0.5000
Ni  0.1418  0.8582  0.8333
Ni  0.2837  0.1418  0.1667
Ni  0.7163  0.8582  0.1667
Ni  0.8582  0.1418  0.8333
Ni  0.8582  0.7163  0.5000
B  0.0000  0.5000  0.6667
B  0.5000  0.0000  0.0000
B  0.5000  0.5000  0.3333

Main lines, in order of rising 2θ (2θ from 5° to 70°):
2θ (°)  d/Å  intensity
23.18  3.837  31
31.86  2.809  21
36.44  2.465  100
37.79  2.380  36
42.73  2.116  71
62.95  1.477  22